Starting from a PBE-relaxed structure, the powder X-ray diffraction pattern of Ba2As6O11 was calculated for a wavelength of 1.5418 Å.

Atomic structure:
Cell: 8.527 9.360 9.478 Å, 73.97 72.75 76.03°
Fractional coordinates of all 38 atoms:
Ba: 0.029 0.441 0.275
Ba: 0.461 0.583 0.231
Ba: 0.539 0.417 0.769
Ba: 0.971 0.559 0.725
As: 0.098 0.892 0.311
As: 0.186 0.181 0.928
As: 0.202 0.731 0.942
As: 0.295 0.261 0.563
As: 0.304 0.824 0.573
As: 0.407 0.092 0.185
As: 0.593 0.908 0.815
As: 0.696 0.176 0.427
As: 0.705 0.739 0.437
As: 0.798 0.269 0.058
As: 0.814 0.819 0.072
As: 0.902 0.108 0.689
O: 0.015 0.316 0.014
O: 0.105 0.737 0.242
O: 0.153 0.783 0.497
O: 0.209 0.436 0.474
O: 0.255 0.318 0.754
O: 0.255 0.682 0.747
O: 0.269 0.189 0.314
O: 0.306 0.560 0.022
O: 0.316 0.921 0.212
O: 0.345 0.206 0.006
O: 0.485 0.695 0.490
O: 0.515 0.305 0.510
O: 0.655 0.794 0.994
O: 0.684 0.079 0.788
O: 0.694 0.440 0.978
O: 0.731 0.811 0.686
O: 0.745 0.318 0.253
O: 0.745 0.682 0.246
O: 0.791 0.564 0.526
O: 0.847 0.217 0.503
O: 0.895 0.263 0.758
O: 0.985 0.684 0.986

The 10 most intense peaks (2θ = 10–90°), in order of falling intensity:
27.3°, d = 3.270 Å, I = 100.0
25.9°, d = 3.434 Å, I = 98.3
29.6°, d = 3.013 Å, I = 66.3
33.7°, d = 2.660 Å, I = 59.0
26.4°, d = 3.375 Å, I = 58.3
27.4°, d = 3.253 Å, I = 56.2
32.5°, d = 2.754 Å, I = 44.0
25.1°, d = 3.542 Å, I = 41.8
38.5°, d = 2.337 Å, I = 30.0
20.1°, d = 4.418 Å, I = 27.3

---

Starting from a PBE-relaxed structure, the powder X-ray diffraction pattern of Ba2PaAs2O2 was calculated for a wavelength of 1.5418 Å.

Atomic structure:
Cell: 4.530 4.530 17.148 Å, 90.00 90.00 90.00°
Fractional coordinates of all 14 atoms:
Ba: 0.000 0.000 0.140
Ba: 0.000 0.000 0.860
Ba: 0.500 0.500 0.360
Ba: 0.500 0.500 0.640
Pa: 0.000 0.000 0.500
Pa: 0.500 0.500 0.000
As: 0.000 0.000 0.333
As: 0.000 0.000 0.667
As: 0.500 0.500 0.167
As: 0.500 0.500 0.833
O: 0.000 0.500 0.000
O: 0.000 0.500 0.500
O: 0.500 0.000 0.000
O: 0.500 0.000 0.500

The 10 most intense peaks (2θ = 10–90°), in order of falling intensity:
27.8°, d = 3.204 Å, I = 100.0
25.1°, d = 3.551 Å, I = 62.2
32.8°, d = 2.734 Å, I = 53.8
39.8°, d = 2.265 Å, I = 47.5
42.4°, d = 2.133 Å, I = 41.3
31.3°, d = 2.858 Å, I = 30.5
51.5°, d = 1.775 Å, I = 29.6
52.5°, d = 1.744 Å, I = 28.8
47.6°, d = 1.910 Å, I = 22.7
10.3°, d = 8.574 Å, I = 22.3

---

Starting from a PBE-relaxed structure, the powder X-ray diffraction pattern of BaAs2PdO8 was calculated for a wavelength of 1.5418 Å.

Atomic structure:
Cell: 8.721 8.721 8.721 Å, 34.22 34.22 34.22°
Fractional coordinates of all 12 atoms:
Ba: 0.000 0.000 0.000
As: 0.240 0.240 0.240
As: 0.760 0.760 0.760
Pd: 0.500 0.500 0.500
O: 0.127 0.484 0.723
O: 0.277 0.516 0.873
O: 0.310 0.310 0.310
O: 0.484 0.723 0.127
O: 0.516 0.873 0.277
O: 0.690 0.690 0.690
O: 0.723 0.127 0.484
O: 0.873 0.277 0.516

The 10 most intense peaks (2θ = 10–90°), in order of falling intensity:
24.7°, d = 3.602 Å, I = 100.0
35.0°, d = 2.566 Å, I = 37.1
35.5°, d = 2.529 Å, I = 25.2
56.8°, d = 1.620 Å, I = 18.4
43.3°, d = 2.090 Å, I = 17.4
57.5°, d = 1.602 Å, I = 15.5
50.7°, d = 1.801 Å, I = 11.8
63.1°, d = 1.474 Å, I = 10.9
62.7°, d = 1.481 Å, I = 10.0
79.3°, d = 1.208 Å, I = 7.7

---

Starting from a PBE-relaxed structure, the powder X-ray diffraction pattern of Ba5As3SO12 was calculated for a wavelength of 1.5418 Å.

Atomic structure:
Cell: 10.799 10.799 7.844 Å, 90.00 90.00 120.00°
Fractional coordinates of all 42 atoms:
Ba: 0.008 0.255 0.250
Ba: 0.248 0.992 0.250
Ba: 0.255 0.248 0.750
Ba: 0.333 0.667 0.001
Ba: 0.333 0.667 0.499
Ba: 0.667 0.333 0.501
Ba: 0.667 0.333 0.999
Ba: 0.745 0.752 0.250
Ba: 0.752 0.008 0.750
Ba: 0.992 0.745 0.750
As: 0.034 0.406 0.750
As: 0.372 0.966 0.750
As: 0.406 0.372 0.250
As: 0.594 0.628 0.750
As: 0.628 0.034 0.250
As: 0.966 0.594 0.250
S: 0.000 0.000 0.000
S: 0.000 0.000 0.500
O: 0.094 0.357 0.573
O: 0.094 0.357 0.927
O: 0.123 0.592 0.750
O: 0.149 0.667 0.250
O: 0.263 0.906 0.573
O: 0.263 0.906 0.927
O: 0.333 0.482 0.250
O: 0.357 0.263 0.073
O: 0.357 0.263 0.427
O: 0.408 0.531 0.750
O: 0.469 0.877 0.750
O: 0.482 0.149 0.750
O: 0.518 0.851 0.250
O: 0.531 0.123 0.250
O: 0.592 0.469 0.250
O: 0.643 0.737 0.573
O: 0.643 0.737 0.927
O: 0.667 0.518 0.750
O: 0.737 0.094 0.073
O: 0.737 0.094 0.427
O: 0.851 0.333 0.750
O: 0.877 0.408 0.250
O: 0.906 0.643 0.073
O: 0.906 0.643 0.427

The 10 most intense peaks (2θ = 10–90°), in order of falling intensity:
27.7°, d = 3.223 Å, I = 100.0
28.1°, d = 3.173 Å, I = 91.8
28.6°, d = 3.117 Å, I = 55.5
40.6°, d = 2.224 Å, I = 35.6
43.0°, d = 2.102 Å, I = 31.4
55.4°, d = 1.659 Å, I = 23.2
25.2°, d = 3.535 Å, I = 23.1
43.7°, d = 2.069 Å, I = 20.8
66.1°, d = 1.414 Å, I = 17.9
44.4°, d = 2.041 Å, I = 17.5

---

What did the third record say?
Starting from a PBE-relaxed structure, the powder X-ray diffraction pattern of BaAs2PdO8 was calculated for a wavelength of 1.5418 Å.

Atomic structure:
Cell: 8.721 8.721 8.721 Å, 34.22 34.22 34.22°
Fractional coordinates of all 12 atoms:
Ba: 0.000 0.000 0.000
As: 0.240 0.240 0.240
As: 0.760 0.760 0.760
Pd: 0.500 0.500 0.500
O: 0.127 0.484 0.723
O: 0.277 0.516 0.873
O: 0.310 0.310 0.310
O: 0.484 0.723 0.127
O: 0.516 0.873 0.277
O: 0.690 0.690 0.690
O: 0.723 0.127 0.484
O: 0.873 0.277 0.516

The 10 most intense peaks (2θ = 10–90°), in order of falling intensity:
24.7°, d = 3.602 Å, I = 100.0
35.0°, d = 2.566 Å, I = 37.1
35.5°, d = 2.529 Å, I = 25.2
56.8°, d = 1.620 Å, I = 18.4
43.3°, d = 2.090 Å, I = 17.4
57.5°, d = 1.602 Å, I = 15.5
50.7°, d = 1.801 Å, I = 11.8
63.1°, d = 1.474 Å, I = 10.9
62.7°, d = 1.481 Å, I = 10.0
79.3°, d = 1.208 Å, I = 7.7